The following is a calculated powder X-ray diffraction pattern of UAs3Pd3. It was derived from DFT lattice parameters and positions (GGA-PBE), using CuKα.
Intensities are scaled so that the largest is 100.

Cell and atoms:
Unit cell a=7.1847 b=7.1847 c=19.2729 alpha=90.00 beta=90.00 gamma=120.00
Space group R-3 (No. 148, hexagonal axes)
Inequivalent atoms, fractional coordinates:
U 0.0000 0.0000 0.1681
As 0.0015 0.6647 0.5803
Pd 0.0011 0.3262 0.6214

Top 8 peaks for 2θ = 15–90°, low angle first:
(0 1 2), 16.96 deg, intensity 21
(2 -1 3), 28.47 deg, intensity 99
(1 1 6), 37.56 deg, intensity 100
(3 0 0), 43.64 deg, intensity 89
(2 -1 9), 49.56 deg, intensity 28
(4 -2 6), 58.91 deg, intensity 27
(3 0 9), 62.32 deg, intensity 22
(4 1 6), 76.11 deg, intensity 25